1.
This entry pairs a crystal structure of Li5VCr3O8 with its calculated X-ray diffraction stick pattern. Radiation: copper Kα. Structure: a structure optimized by DFT (GGA+U).
Neutral-atom scattering factors, no anomalous dispersion.

Cell and atoms:
```
data_Li5VCr3O8
_symmetry_space_group_name_H-M 'P 63 m c'
_symmetry_Int_Tables_number 186
_symmetry_space_group_name_Hall 'P 6c -2c'
_cell_length_a 5.9992
_cell_length_b 5.9992
_cell_length_c 9.9287
_cell_angle_alpha 90.00
_cell_angle_beta 90.00
_cell_angle_gamma 120.00
loop_
_atom_site_label
_atom_site_type_symbol
_atom_site_fract_x
_atom_site_fract_y
_atom_site_fract_z
Li1 Li 0.0000 0.0000 0.0000
Li2 Li 0.1953 0.3907 0.0762
Li3 Li 0.3333 0.6667 0.2903
V1 V 0.3333 0.6667 0.5404
Cr1 Cr 0.1682 0.3363 0.8017
O1 O 0.0000 0.0000 0.1899
O2 O 0.0158 0.5079 0.6846
O3 O 0.1598 0.3196 0.4172
O4 O 0.3333 0.6667 0.9167
```

Main lines, in order of rising 2θ (2θ = 5–70°):
index  d_spacing  two_theta  I (rel.)
0 0 2  4.964  17.9  66
1 0 1  4.603  19.3  83
1 0 2  3.589  24.8  28
1 0 3  2.791  32.1  28
2 0 0  2.598  34.5  16
1 1 2  2.567  34.9  51
2 0 1  2.513  35.7  54
2 0 2  2.302  39.1  44
2 0 3  2.043  44.3  100
2 0 4  1.795  50.9  33
2 0 5  1.578  58.5  46
2 2 0  1.500  61.9  50


2.
This entry pairs a crystal structure of CrCuPPb2O9 with its calculated X-ray diffraction stick pattern. Radiation: copper Kα. Structure: a structure optimized by DFT (GGA+U).
Neutral-atom scattering factors, no anomalous dispersion.

Cell and atoms:
```
data_CrCuPPb2O9
_symmetry_space_group_name_H-M 'P 1 21/c 1'
_symmetry_Int_Tables_number 14
_cell_length_a 9.6470
_cell_length_b 5.8671
_cell_length_c 16.7050
_cell_angle_alpha 90.00
_cell_angle_beta 123.71
_cell_angle_gamma 90.00
loop_
_symmetry_equiv_pos_as_xyz
'x,y,z'
'-x,-y,-z'
'-x,y+1/2,-z+1/2'
'x,-y+1/2,z+1/2'
loop_
_atom_site_label
_atom_site_type_symbol
_atom_site_fract_x
_atom_site_fract_y
_atom_site_fract_z
Cr1 Cr 0.1833 0.2454 0.3656
Cu1 Cu 0.0000 0.0000 0.0000
Cu2 Cu 0.0000 0.0000 0.5000
P1 P 0.3310 0.2360 0.6551
Pb1 Pb 0.2521 0.7384 0.7690
Pb2 Pb 0.3717 0.7368 0.5463
O1 O 0.0572 0.2231 0.2487
O2 O 0.0672 0.2451 0.9103
O3 O 0.0702 0.7490 0.4655
O4 O 0.2184 0.0151 0.6117
O5 O 0.2225 0.0379 0.1142
O6 O 0.3017 0.0141 0.8965
O7 O 0.3091 0.0126 0.4063
O8 O 0.4167 0.2247 0.7638
O9 O 0.4514 0.2355 0.6211
```

Main lines, in order of rising 2θ (2θ = 5–70°):
index  d_spacing  two_theta  I (rel.)
1 1 0  4.736  18.7  61
1 0 -4  4.132  21.5  20
2 1 -2  3.725  23.9  21
1 1 -4  3.378  26.4  100
2 1 0  3.312  26.9  20
0 1 4  2.989  29.9  28
0 2 0  2.934  30.5  32
2 0 2  2.855  31.3  27
3 1 -2  2.776  32.3  31
3 1 -4  2.751  32.5  40
2 2 -4  2.347  38.4  37
0 4 0  1.467  63.4  20


3.
This entry pairs a crystal structure of Li2V3O6 with its calculated X-ray diffraction stick pattern. Radiation: copper Kα. Structure: a structure optimized by DFT (GGA+U).
Neutral-atom scattering factors, no anomalous dispersion.

Cell and atoms:
```
data_Li2V3O6
_symmetry_space_group_name_H-M 'P 1'
_symmetry_Int_Tables_number 1
_cell_length_a 5.1833
_cell_length_b 6.6845
_cell_length_c 6.7516
_cell_angle_alpha 83.14
_cell_angle_beta 81.62
_cell_angle_gamma 82.37
loop_
_symmetry_equiv_pos_as_xyz
'x,y,z'
loop_
_atom_site_label
_atom_site_type_symbol
_atom_site_fract_x
_atom_site_fract_y
_atom_site_fract_z
Li1 Li 0.0000 0.0000 0.0000
Li2 Li 0.0027 0.6589 0.3391
Li3 Li 0.5069 0.1567 0.8394
Li4 Li 0.5117 0.4993 0.4945
V1 V 0.2545 0.9120 0.5856
V2 V 0.2572 0.2459 0.2515
V3 V 0.2576 0.5814 0.9197
V4 V 0.7541 0.0793 0.4161
V5 V 0.7558 0.7374 0.7567
V6 V 0.7595 0.4188 0.0818
O1 O 0.1015 0.9716 0.3163
O2 O 0.1259 0.6413 0.6410
O3 O 0.1338 0.2977 0.9802
O4 O 0.3830 0.5195 0.1973
O5 O 0.3853 0.8625 0.8525
O6 O 0.4102 0.1847 0.5251
O7 O 0.6276 0.4790 0.7980
O8 O 0.6399 0.1389 0.1416
O9 O 0.6410 0.7979 0.4827
O10 O 0.8636 0.0103 0.7005
O11 O 0.8765 0.3564 0.3593
O12 O 0.8921 0.6955 0.0240
```

Main lines, in order of rising 2θ (2θ = 5–70°):
index  d_spacing  two_theta  I (rel.)
0 1 1  4.938  18.0  100
1 -1 2  2.557  35.1  11
2 0 0  2.546  35.2  12
1 2 -1  2.528  35.5  11
1 0 3  2.137  42.3  24
-2 1 1  2.109  42.9  45
1 -3 0  1.938  46.9  6
1 1 4  1.650  55.7  5
2 3 3  1.517  61.1  6
3 -1 2  1.501  61.8  12
-1 4 1  1.496  62.0  6
0 3 -3  1.486  62.5  12


4.
This entry pairs a crystal structure of BaSrDyWO6 with its calculated X-ray diffraction stick pattern. Radiation: copper Kα. Structure: a structure optimized by DFT (GGA+U).
Neutral-atom scattering factors, no anomalous dispersion.

Cell and atoms:
```
data_BaSrDyWO6
_symmetry_space_group_name_H-M 'P 2 2 2'
_symmetry_Int_Tables_number 16
_cell_length_a 8.4325
_cell_length_b 8.4433
_cell_length_c 8.4739
_cell_angle_alpha 90.00
_cell_angle_beta 90.00
_cell_angle_gamma 90.00
loop_
_symmetry_equiv_pos_as_xyz
'x,y,z'
'-x,-y,z'
'x,-y,-z'
'-x,y,-z'
loop_
_atom_site_label
_atom_site_type_symbol
_atom_site_fract_x
_atom_site_fract_y
_atom_site_fract_z
Ba1 Ba 0.0000 0.0000 0.0000
Ba2 Ba 0.0000 0.0000 0.5000
Ba3 Ba 0.0000 0.5000 0.0000
Ba4 Ba 0.5000 0.5000 0.5000
Sr1 Sr 0.0000 0.5000 0.5000
Sr2 Sr 0.5000 0.0000 0.0000
Sr3 Sr 0.5000 0.0000 0.5000
Sr4 Sr 0.5000 0.5000 0.0000
Dy1 Dy 0.2522 0.2505 0.2504
W1 W 0.2529 0.2505 0.7501
O1 O 0.0162 0.2301 0.7268
O2 O 0.2202 0.4856 0.7181
O3 O 0.2314 0.2747 0.9878
O4 O 0.2821 0.2183 0.5131
O5 O 0.2831 0.0144 0.7770
O6 O 0.4858 0.2812 0.7816
```

Main lines, in order of rising 2θ (2θ = 5–70°):
index  d_spacing  two_theta  I (rel.)
1 1 1  4.879  18.2  1
0 2 0  4.229  21.0  7
2 0 0  4.216  21.1  3
2 2 0  2.987  29.9  100
0 0 4  2.118  42.7  9
0 4 0  2.109  42.9  18
0 2 4  1.893  48.1  1
4 2 0  1.888  48.2  3
2 2 4  1.727  53.0  14
4 2 2  1.724  53.1  28
0 4 4  1.495  62.1  11
4 4 0  1.492  62.2  6


5.
This entry pairs a crystal structure of K3VO4 with its calculated X-ray diffraction stick pattern. Radiation: copper Kα. Structure: a structure optimized by DFT (GGA+U).
Neutral-atom scattering factors, no anomalous dispersion.

Cell and atoms:
```
data_K3VO4
_symmetry_space_group_name_H-M 'P 21 3'
_symmetry_Int_Tables_number 198
_symmetry_space_group_name_Hall 'P 2ac 2ab 3'
_cell_length_a 8.4617
_cell_length_b 8.4617
_cell_length_c 8.4617
_cell_angle_alpha 90.00
_cell_angle_beta 90.00
_cell_angle_gamma 90.00
loop_
_atom_site_label
_atom_site_type_symbol
_atom_site_fract_x
_atom_site_fract_y
_atom_site_fract_z
K1 K 0.0093 0.4907 0.5093
K2 K 0.0331 0.5331 0.9669
K3 K 0.2246 0.2246 0.2246
V1 V 0.2374 0.2626 0.7374
O1 O 0.0376 0.2401 0.7885
O2 O 0.1446 0.8554 0.3554
```

Main lines, in order of rising 2θ (2θ = 5–70°):
index  d_spacing  two_theta  I (rel.)
1 1 1  4.885  18.2  10
2 0 0  4.231  21.0  6
2 2 0  2.992  29.9  100
2 2 1  2.821  31.7  6
3 0 1  2.676  33.5  10
3 0 2  2.347  38.4  5
3 1 2  2.261  39.9  11
4 0 0  2.115  42.7  22
4 2 2  1.727  53.0  25
5 1 0  1.659  55.4  5
4 3 2  1.571  58.8  4
4 4 0  1.496  62.0  12